Computed PXRD pattern of In2Bi2O7 for Cu Kα X-rays, from a cell relaxed with GGA-PBE.
No peak broadening, texture or thermal motion is included.

Peak list (12 most intense, 2θ from 10° to 80°, most intense first)
Position (°2θ), I/Imax, h k l
29.01, 100, 2 1 1
31.58, 74, 2 1 -3
32.19, 71, 0 2 0
28.82, 68, 2 1 -2
31.86, 59, 2 1 2
25.75, 49, 0 0 4
27.41, 49, 2 1 0
56.14, 37, 4 2 -1
44.69, 34, 4 0 -1
26.19, 33, 1 1 -3
30.42, 32, 0 1 4
41.67, 31, 0 2 4

Cell and atoms:
a b c (Å): 8.1113 5.5610 14.0165
angles (deg): 90.00 99.06 90.00
Space group P2_1 (No. 4)
Inequivalent atoms, fractional coordinates:
1 In 0.0212 0.0000 0.1133
2 In 0.0681 0.5129 0.3140
3 In 0.3931 0.0032 0.6725
4 In 0.4596 0.4873 0.8768
5 Bi 0.1664 0.5665 0.5483
6 Bi 0.2336 0.0015 0.9213
7 Bi 0.3006 0.4639 0.1440
8 Bi 0.3795 0.0194 0.3766
9 O 0.0321 0.1769 0.8160
10 O 0.0391 0.8020 0.4263
11 O 0.0826 0.3359 0.0336
12 O 0.1527 0.2225 0.2266
13 O 0.1537 0.8242 0.6587
14 O 0.1990 0.3306 0.4360
15 O 0.2187 0.6345 0.8691
16 O 0.2720 0.8300 0.0893
17 O 0.3272 0.6474 0.2924
18 O 0.3624 0.3636 0.6313
19 O 0.3999 0.7890 0.5388
20 O 0.4162 0.1314 0.8238
21 O 0.4390 0.3049 0.0353
22 O 0.4768 0.2069 0.2416

Computed PXRD pattern of GaSbCl6 for Cu Kα X-rays, from a cell relaxed with GGA-PBE.
No peak broadening, texture or thermal motion is included.

Peak list (12 most intense, 2θ from 10° to 80°, most intense first)
Position (°2θ), I/Imax, h k l
14.18, 100, 1 0 -2
26.66, 39, 0 0 4
17.02, 36, 2 0 0
17.21, 34, 1 0 2
20.39, 33, 2 1 0
20.56, 28, 1 1 2
26.32, 27, 3 0 -2
28.25, 23, 2 2 0
30.18, 22, 0 2 3
22.41, 22, 0 2 0
49.14, 22, 2 1 6
36.61, 18, 2 2 -4

Cell and atoms:
a b c (Å): 10.6569 7.9317 13.6506
angles (deg): 90.00 102.08 90.00
Space group P2_1/c (No. 14)
Inequivalent atoms, fractional coordinates:
1 Ga 0.1590 0.2364 0.0785
2 Sb 0.2556 0.7324 0.1263
3 Cl 0.0036 0.1033 0.1242
4 Cl 0.1200 0.1190 0.4409
5 Cl 0.2426 0.0842 0.7052
6 Cl 0.3189 0.0538 0.0699
7 Cl 0.3198 0.6864 0.7952
8 Cl 0.4582 0.6640 0.0946

Computed PXRD pattern of MoSBr for Cu Kα X-rays, from a cell relaxed with GGA-PBE.
No peak broadening, texture or thermal motion is included.

Peak list (12 most intense, 2θ from 10° to 80°, most intense first)
Position (°2θ), I/Imax, h k l
35.62, 100, 4 0 0
15.22, 82, 1 1 1
51.26, 55, 4 4 0
29.38, 43, 3 1 1
38.94, 42, 3 3 1
46.82, 31, 3 3 3
44.00, 27, 4 2 2
63.98, 16, 4 4 4
66.20, 15, 5 5 1
71.94, 15, 7 3 1
77.50, 11, 7 3 3
17.59, 11, 2 0 0

Cell and atoms:
a b c (Å): 10.0817 10.0817 10.0817
angles (deg): 90.00 90.00 90.00
Space group F-43m (No. 216)
Inequivalent atoms, fractional coordinates:
1 Mo 0.0981 0.0981 0.0981
2 S 0.1309 0.1309 0.8691
3 Br 0.1286 0.1286 0.3714